This entry pairs a crystal structure of Li2VNiO4 with its simulated XRD peak list. Radiation: CuKα. Structure: a cell relaxed with GGA+U.
Intensities are scaled so that the largest is 1000.

Most intense lines, 15° ≤ 2θ ≤ 90°, sorted by position:
2θ = 18.38°, I = 1000, hkl 1 1 -1; 2θ = 35.39°, I = 193, hkl 3 1 -1; 2θ = 35.49°, I = 116, hkl 3 1 -2; 2θ = 35.95°, I = 140, hkl 1 3 -1; 2θ = 42.92°, I = 280, hkl 0 0 2; 2θ = 43.06°, I = 278, hkl 4 0 -2; 2θ = 43.85°, I = 253, hkl 0 4 0; 2θ = 47.49°, I = 94, hkl 3 3 -1; 2θ = 63.03°, I = 143, hkl 0 4 2; 2θ = 63.14°, I = 143, hkl 4 4 -2

```
data_Li2VNiO4
_symmetry_space_group_name_H-M 'C 1 2/c 1'
_symmetry_Int_Tables_number 15
_symmetry_space_group_name_Hall '-C 2yc'
_cell_length_a 8.403
_cell_length_b 8.259
_cell_length_c 5.936
_cell_angle_alpha 90.00
_cell_angle_beta 134.77
_cell_angle_gamma 90.00
loop_
_atom_site_label
_atom_site_fract_x
_atom_site_fract_y
_atom_site_fract_z
Li1 0.000 0.000 0.000
Li2 0.250 0.250 0.000
V1 0.000 0.500 0.000
Ni1 0.250 0.250 0.500
O1 0.000 0.270 0.007
O2 0.232 0.498 0.982
```

This entry pairs a crystal structure of Li4VNi3O8 with its simulated XRD peak list. Radiation: CuKα. Structure: a cell relaxed with GGA+U.
Intensities are scaled so that the largest is 1000.

Most intense lines, 15° ≤ 2θ ≤ 90°, sorted by position:
2θ = 18.48°, I = 1000, hkl 0 0 3; 2θ = 35.82°, I = 489, hkl 0 2 1; 2θ = 37.47°, I = 214, hkl 0 0 6; 2θ = 43.54°, I = 830, hkl 0 2 4; 2θ = 47.67°, I = 187, hkl 2 0 5; 2θ = 57.59°, I = 169, hkl 0 2 7; 2θ = 63.27°, I = 455, hkl 2 2 0; 2θ = 66.54°, I = 154, hkl 2 2 3; 2θ = 75.91°, I = 108, hkl 0 2 10; 2θ = 79.94°, I = 137, hkl 4 0 4

```
data_Li4VNi3O8
_symmetry_space_group_name_H-M 'R 3 m'
_symmetry_Int_Tables_number 160
_symmetry_space_group_name_Hall 'R 3 -2"'
_cell_length_a 5.8782
_cell_length_b 5.8782
_cell_length_c 14.4068
_cell_angle_alpha 90.00
_cell_angle_beta 90.00
_cell_angle_gamma 120.00
loop_
_atom_site_label
_atom_site_fract_x
_atom_site_fract_y
_atom_site_fract_z
Li1 0.0000 0.0000 0.0000
Li2 0.0050 0.5025 0.0000
V1 0.0000 0.0000 0.5039
Ni1 0.0000 0.5000 0.5039
O1 0.0000 0.0000 0.2456
O2 0.0000 0.0000 0.7622
O3 0.0192 0.5096 0.2505
O4 0.1763 0.3526 0.0908
```

This entry pairs a crystal structure of Li4V3NiO8 with its simulated XRD peak list. Radiation: CuKα. Structure: a cell relaxed with GGA+U.
Intensities are scaled so that the largest is 1000.

Most intense lines, 15° ≤ 2θ ≤ 90°, sorted by position:
2θ = 18.18°, I = 1000, hkl 0 0 1; 2θ = 35.26°, I = 156, hkl 4 0 -1; 2θ = 35.41°, I = 272, hkl 2 2 -1; 2θ = 36.88°, I = 79, hkl 0 0 2; 2θ = 42.78°, I = 286, hkl 4 0 0; 2θ = 42.98°, I = 555, hkl 2 2 -2; 2θ = 46.96°, I = 96, hkl 2 2 1; 2θ = 56.76°, I = 94, hkl 2 2 -3; 2θ = 62.22°, I = 225, hkl 2 2 2; 2θ = 62.32°, I = 154, hkl 6 2 -2

```
data_Li4V3NiO8
_symmetry_space_group_name_H-M 'C 1 2/m 1'
_symmetry_Int_Tables_number 12
_symmetry_space_group_name_Hall '-C 2y'
_cell_length_a 10.335
_cell_length_b 5.939
_cell_length_c 5.965
_cell_angle_alpha 90.00
_cell_angle_beta 125.11
_cell_angle_gamma 90.00
loop_
_atom_site_label
_atom_site_fract_x
_atom_site_fract_y
_atom_site_fract_z
Li1 0.000 0.000 0.000
Li2 0.000 0.500 0.000
Li3 0.250 0.250 0.000
V1 0.000 0.000 0.500
V2 0.250 0.250 0.500
Ni1 0.000 0.500 0.500
O1 0.004 0.232 0.273
O2 0.240 0.000 0.735
O3 0.246 0.500 0.726
```